Starting from DFT lattice parameters and positions (GGA-PBE), the X-ray diffraction stick pattern of CeCdGaPt3 was simulated for a wavelength of 1.5418 Å.

Cell and atoms:
a b c (Å): 7.1810 12.2427 5.7459
angles (deg): 90.00 90.00 90.00
Space group Cmcm (No. 63)
Symmetry-distinct sites (fractional):
Ce 0.0000 0.1866 0.2500 x4
Cd 0.0000 0.4390 0.2500 x4
Ga 0.0000 0.1269 0.7500 x4
Pt 0.0000 0.3249 0.7500 x4
Pt 0.1985 0.0000 0.0000 x8

Largest 10 diffraction maxima, sorted by position, 2θ from 10° to 80°:
- 14.47 deg, d = 6.121 Å, I = 57.7, hkl 0 2 0
- 28.83 deg, d = 3.097 Å, I = 67.1, hkl 2 2 0
- 33.16 deg, d = 2.701 Å, I = 46.6, hkl 0 4 1
- 34.47 deg, d = 2.602 Å, I = 78.3, hkl 0 2 2
- 38.31 deg, d = 2.349 Å, I = 27.5, hkl 3 1 0
- 38.66 deg, d = 2.329 Å, I = 31.3, hkl 2 4 0
- 40.20 deg, d = 2.243 Å, I = 100.0, hkl 2 0 2
- 41.85 deg, d = 2.159 Å, I = 49.1, hkl 2 4 1
- 43.19 deg, d = 2.095 Å, I = 31.9, hkl 0 4 2
- 61.43 deg, d = 1.509 Å, I = 23.3, hkl 2 6 2

Starting from DFT lattice parameters and positions (GGA-PBE), the X-ray diffraction stick pattern of Y7PtSe5 was simulated for a wavelength of 1.5418 Å.

Cell and atoms:
a b c (Å): 3.9826 13.4242 24.3952
angles (deg): 90.00 90.00 90.00
Space group Cmc2_1 (No. 36)
Symmetry-distinct sites (fractional):
Y 0.0000 0.0420 0.0000 x4
Y 0.0000 0.1383 0.7118 x4
Y 0.0000 0.1388 0.2883 x4
Y 0.0000 0.2982 0.0693 x4
Y 0.0000 0.2978 0.9308 x4
Y 0.0000 0.4112 0.3655 x4
Y 0.0000 0.4106 0.6343 x4
Pt 0.0000 0.3044 0.5002 x4
Se 0.0000 0.0554 0.3943 x4
Se 0.0000 0.0550 0.6058 x4
Se 0.0000 0.2210 0.1790 x4
Se 0.0000 0.2206 0.8210 x4
Se 0.0000 0.5003 0.2500 x4

Largest 10 diffraction maxima, sorted by position, 2θ from 10° to 80°:
- 28.87 deg, d = 3.093 Å, I = 60.0, hkl 0 2 7
- 30.94 deg, d = 2.890 Å, I = 100.0, hkl 1 3 2
- 32.04 deg, d = 2.794 Å, I = 69.8, hkl 1 3 3
- 32.24 deg, d = 2.776 Å, I = 23.3, hkl 0 2 8
- 40.83 deg, d = 2.210 Å, I = 44.2, hkl 1 1 9
- 44.05 deg, d = 2.056 Å, I = 19.5, hkl 1 1 10
- 44.55 deg, d = 2.034 Å, I = 30.6, hkl 0 6 5
- 44.75 deg, d = 2.025 Å, I = 26.6, hkl 1 5 5
- 45.55 deg, d = 1.991 Å, I = 34.3, hkl 2 0 0
- 54.83 deg, d = 1.674 Å, I = 19.6, hkl 2 2 7